Diffraction record for Gd3AlVS7. The XRD peak list is theoretical, not measured: it uses a structure optimized by DFT (PBE) and Cu Kα.
No peak broadening, texture or thermal motion is included.

Main lines, sorted by position (10 to 80 degrees two-theta):
2θ/deg	I_rel
17.8	495
25.6	1000
35.1	403
36.1	358
40.8	374
49.4	426

Atomic structure:
```
24
Lattice="9.742 0.000 0.000 -4.871 8.437 0.000 0.000 0.000 6.151" Properties=species:S:1:pos:R:3 pbc="T T T"
Gd -2.283 6.534 0.000
Gd 0.354 3.192 0.000
Gd 2.942 1.290 3.075
Gd 1.929 7.148 0.000
Gd 4.517 5.245 3.075
Gd 7.155 1.903 3.075
Al 0.000 5.625 3.549
Al 4.871 2.812 0.473
V 0.000 0.000 1.016
V 0.000 0.000 4.091
S -1.639 4.388 4.474
S -3.271 7.316 2.538
S 0.171 1.946 2.538
S 1.771 0.825 5.613
S 0.000 5.625 1.311
S -0.252 7.663 4.474
S 1.891 4.824 4.474
S 2.980 3.613 1.399
S 5.123 0.775 1.399
S 4.871 2.812 4.387
S 3.100 7.612 2.538
S 4.701 6.491 5.613
S 8.142 1.121 5.613
S 6.510 4.050 1.399
```

Diffraction record for PmY6Ho4. The XRD peak list is theoretical, not measured: it uses a structure optimized by DFT (PBE) and Cu Kα.
No peak broadening, texture or thermal motion is included.

Main lines, sorted by position (10 to 80 degrees two-theta):
2θ/deg	I_rel
30.4	602
30.5	403
31.4	553
31.8	1000
33.3	365
44.4	286

Atomic structure:
```
22
Lattice="2.847 -4.846 0.000 2.847 4.846 0.000 0.000 0.000 25.765" Properties=species:S:1:pos:R:3 pbc="T T T"
Pm 2.847 3.114 19.324
Pm 2.847 -3.114 6.441
Y 2.847 3.378 4.653
Y 2.847 3.378 8.230
Y 2.847 3.085 15.511
Y 2.847 3.085 23.136
Y 2.847 0.122 6.441
Y 2.847 0.000 0.000
Y 2.847 0.000 12.882
Y 2.847 -0.122 19.324
Y 2.847 -3.085 2.629
Y 2.847 -3.085 10.254
Y 2.847 -3.378 17.535
Y 2.847 -3.378 21.112
Ho 2.847 3.286 1.074
Ho 2.847 3.286 11.808
Ho 2.847 0.182 3.116
Ho 2.847 0.182 9.766
Ho 2.847 -0.182 15.999
Ho 2.847 -0.182 22.649
Ho 2.847 -3.286 13.957
Ho 2.847 -3.286 24.691
```

Diffraction record for Pu4BrCl5. The XRD peak list is theoretical, not measured: it uses a structure optimized by DFT (PBE) and Cu Kα.
No peak broadening, texture or thermal motion is included.

Main lines, sorted by position (10 to 80 degrees two-theta):
2θ/deg	I_rel
14.2	726
17.1	577
30.6	587
32.1	1000
36.0	746
41.0	682

Atomic structure:
```
20
Lattice="9.347 0.000 0.000 0.000 9.347 0.000 0.000 0.000 6.227" Properties=species:S:1:pos:R:3 pbc="T T T"
Pu 0.361 7.011 0.890
Pu 2.337 5.035 5.337
Pu 2.337 8.987 5.337
Pu 4.313 7.011 0.890
Pu 5.035 2.337 5.337
Pu 7.011 0.361 0.890
Pu 7.011 4.313 0.890
Pu 8.987 2.337 5.337
Br 2.337 2.337 4.086
Br 7.011 7.011 2.141
Cl 0.582 0.582 1.345
Cl 0.582 4.092 1.345
Cl 2.337 7.011 3.114
Cl 4.092 0.582 1.345
Cl 4.092 4.092 1.345
Cl 5.255 5.255 4.883
Cl 5.255 8.766 4.883
Cl 7.011 2.337 3.114
Cl 8.766 5.255 4.883
Cl 8.766 8.766 4.883
```

Diffraction record for La2Cu3Sn5. The XRD peak list is theoretical, not measured: it uses a structure optimized by DFT (PBE) and Cu Kα.
No peak broadening, texture or thermal motion is included.

Main lines, sorted by position (10 to 80 degrees two-theta):
2θ/deg	I_rel
29.1	281
30.8	616
33.5	1000
35.4	388
38.9	490
53.6	236

Atomic structure:
```
20
Lattice="2.315 -12.476 0.000 2.315 12.476 0.000 0.000 0.000 8.315" Properties=species:S:1:pos:R:3 pbc="T T T"
La 2.315 11.558 4.157
La 2.315 4.248 3.756
La 2.315 -4.248 7.913
La 2.315 -11.558 0.000
Cu 2.315 10.214 6.932
Cu 2.315 6.031 6.700
Cu 2.315 1.157 5.412
Cu 2.315 -1.157 1.255
Cu 2.315 -6.031 2.543
Cu 2.315 -10.214 2.775
Sn 2.315 9.996 1.214
Sn 2.315 8.254 5.198
Sn 2.315 6.434 1.120
Sn 2.315 3.428 7.283
Sn 2.315 1.036 2.626
Sn 2.315 -1.036 6.784
Sn 2.315 -3.428 3.126
Sn 2.315 -6.434 5.277
Sn 2.315 -8.254 1.040
Sn 2.315 -9.996 5.371
```

Diffraction record for NaSr5Au2. The XRD peak list is theoretical, not measured: it uses a structure optimized by DFT (PBE) and Cu Kα.
No peak broadening, texture or thermal motion is included.

Main lines, sorted by position (10 to 80 degrees two-theta):
2θ/deg	I_rel
10.4	1000
11.9	627
21.9	880
29.3	817
32.9	995
39.3	647

Atomic structure:
```
16
Lattice="4.661 0.000 0.000 0.000 8.306 0.000 0.000 0.000 16.994" Properties=species:S:1:pos:R:3 pbc="T T T"
Na 0.000 0.000 0.000
Na 2.331 4.153 8.497
Sr 0.000 2.106 5.864
Sr 0.000 2.106 11.130
Sr 0.000 4.153 0.000
Sr 0.000 6.200 5.864
Sr 0.000 6.200 11.130
Sr 2.331 0.000 8.497
Sr 2.331 2.047 2.633
Sr 2.331 2.047 14.361
Sr 2.331 6.259 2.633
Sr 2.331 6.259 14.361
Au 0.000 4.153 3.270
Au 0.000 4.153 13.724
Au 2.331 0.000 5.227
Au 2.331 0.000 11.767
```

Diffraction record for RbHgI2N. The XRD peak list is theoretical, not measured: it uses a structure optimized by DFT (PBE) and Cu Kα.
No peak broadening, texture or thermal motion is included.

Main lines, sorted by position (10 to 80 degrees two-theta):
2θ/deg	I_rel
20.4	423
24.7	646
27.8	1000
34.8	450
37.6	446
39.8	382

Atomic structure:
```
5
Lattice="6.407 0.000 0.000 0.000 6.407 0.000 0.000 0.000 4.354" Properties=species:S:1:pos:R:3 pbc="T T T"
Rb 0.000 0.000 0.000
Hg 3.204 3.204 2.177
I 0.000 3.204 2.177
I 3.204 0.000 2.177
N 3.204 3.204 0.000
```